# 1
Starting from a crystal structure in Alexandria, relaxed with GGA-PBE, the PXRD pattern of SrTbBr5 was computed for a wavelength of 1.5418 Å.
Neutral-atom scattering factors, no anomalous dispersion.

Structure:
```
data_SrTbBr5
_chemical_formula_sum 'Sr2 Tb2 Br10'
_space_group_name_H-M_alt 'P 1'
_space_group_IT_number 1
_cell_length_a 8.5314
_cell_length_b 4.3265
_cell_length_c 13.9884
_cell_angle_alpha 90.00
_cell_angle_beta 93.77
_cell_angle_gamma 90.00
loop_
_space_group_symop_operation_xyz
'x,y,z'
loop_
_atom_site_label
_atom_site_type_symbol
_atom_site_fract_x
_atom_site_fract_y
_atom_site_fract_z
Sr1 Sr 0.0894 0.2500 0.1425
Sr2 Sr 0.9106 0.7500 0.8575
Tb1 Tb 0.4233 0.7500 0.3522
Tb2 Tb 0.5767 0.2500 0.6478
Br1 Br 0.0901 0.7500 0.3203
Br2 Br 0.1444 0.2500 0.9256
Br3 Br 0.3262 0.2500 0.4814
Br4 Br 0.3645 0.7500 0.1471
Br5 Br 0.3816 0.7500 0.6976
Br6 Br 0.6184 0.2500 0.3024
Br7 Br 0.6355 0.2500 0.8529
Br8 Br 0.6738 0.7500 0.5186
Br9 Br 0.8556 0.7500 0.0744
Br10 Br 0.9099 0.2500 0.6797
```

Top 8 peaks for 10° ≤ 2θ ≤ 80°, by angle:
- d = 8.513 Å, intensity 15
- d = 7.490 Å, intensity 100
- d = 3.334 Å, intensity 26
- d = 3.037 Å, intensity 47
- d = 3.014 Å, intensity 24
- d = 2.832 Å, intensity 22
- d = 2.238 Å, intensity 16
- d = 2.163 Å, intensity 38



# 2
Starting from a crystal structure in Alexandria, relaxed with GGA-PBE, the PXRD pattern of ZrRe2Rh was computed for a wavelength of 1.5418 Å.
Neutral-atom scattering factors, no anomalous dispersion.

Structure:
```
data_ZrRe2Rh
_chemical_formula_sum 'Zr1 Re2 Rh1'
_space_group_name_H-M_alt 'P 1'
_space_group_IT_number 1
_cell_length_a 4.8557
_cell_length_b 4.8557
_cell_length_c 5.0168
_cell_angle_alpha 99.22
_cell_angle_beta 99.22
_cell_angle_gamma 34.36
loop_
_space_group_symop_operation_xyz
'x,y,z'
loop_
_atom_site_label
_atom_site_type_symbol
_atom_site_fract_x
_atom_site_fract_y
_atom_site_fract_z
Zr1 Zr 0.0000 0.0000 0.0000
Re1 Re 0.5072 0.5072 0.4952
Re2 Re 0.7648 0.7648 0.3255
Rh1 Rh 0.2459 0.2459 0.7803
```

Top 8 peaks for 10° ≤ 2θ ≤ 80°, by angle:
- d = 4.946 Å, intensity 20
- d = 2.346 Å, intensity 100
- d = 2.287 Å, intensity 33
- d = 2.037 Å, intensity 19
- d = 2.009 Å, intensity 45
- d = 1.445 Å, intensity 10
- d = 1.417 Å, intensity 13
- d = 1.215 Å, intensity 15